[1]
For CsTlPtCl6, a PBE-relaxed structure gives the computed XRD peak list in this record (Cu Ka).
Neutral-atom scattering factors, no anomalous dispersion.

Crystal structure
a b c (Å): 6.8024 6.8024 7.8068
angles (deg): 90.00 90.00 120.00
Fractional coordinates of all 9 atoms:
Cs 0.0000 0.0000 0.0000
Tl 0.6667 0.3333 0.5000
Pt 0.3333 0.6667 0.5000
Cl 0.0139 0.3764 0.6863
Cl 0.0139 0.6375 0.3137
Cl 0.3625 0.3764 0.3137
Cl 0.3625 0.9861 0.6863
Cl 0.6236 0.6375 0.6863
Cl 0.6236 0.9861 0.3137

Peak list (10 most intense, 15° ≤ 2θ ≤ 90°, low angle first)
2θ/deg, d [Å], I_rel
18.87, 4.702, 100
26.20, 3.401, 34
28.63, 3.118, 24
32.49, 2.756, 21
34.99, 2.564, 69
42.21, 2.141, 25
46.23, 1.964, 21
46.56, 1.951, 16
54.20, 1.692, 28
78.29, 1.221, 15



[2]
For CsTl2PtCl6, a PBE-relaxed structure gives the computed XRD peak list in this record (Cu Ka).
Neutral-atom scattering factors, no anomalous dispersion.

Crystal structure
a b c (Å): 17.1996 17.1996 17.1996
angles (deg): 24.16 24.16 24.16
Fractional coordinates of all 20 atoms:
Cs 0.0842 0.0842 0.0842
Cs 0.9158 0.9158 0.9158
Tl 0.1838 0.1838 0.1838
Tl 0.3507 0.3507 0.3507
Tl 0.6493 0.6493 0.6493
Tl 0.8162 0.8162 0.8162
Pt 0.0000 0.0000 0.0000
Pt 0.5000 0.5000 0.5000
Cl 0.1330 0.1330 0.6504
Cl 0.1330 0.6504 0.1330
Cl 0.2079 0.6879 0.6879
Cl 0.3121 0.3121 0.7921
Cl 0.3121 0.7921 0.3121
Cl 0.3496 0.8670 0.8670
Cl 0.6504 0.1330 0.1330
Cl 0.6879 0.2079 0.6879
Cl 0.6879 0.6879 0.2079
Cl 0.7921 0.3121 0.3121
Cl 0.8670 0.3496 0.8670
Cl 0.8670 0.8670 0.3496

Peak list (10 most intense, 15° ≤ 2θ ≤ 90°, low angle first)
2θ/deg, d [Å], I_rel
18.88, 4.700, 38
24.21, 3.676, 37
24.73, 3.600, 100
26.98, 3.305, 45
31.30, 2.858, 37
32.86, 2.726, 50
34.88, 2.572, 37
37.07, 2.425, 26
50.72, 1.800, 29
52.01, 1.758, 26



[3]
For CsPuCl14, a PBE-relaxed structure gives the computed XRD peak list in this record (Cu Ka).
Neutral-atom scattering factors, no anomalous dispersion.

Crystal structure
a b c (Å): 9.9242 9.9242 8.0266
angles (deg): 95.73 95.73 124.65
Fractional coordinates of all 16 atoms:
Cs 0.0000 0.0000 0.0000
Pu 0.2814 0.7186 0.0000
Cl 0.1915 0.4265 0.0073
Cl 0.2156 0.6521 0.6842
Cl 0.2660 0.2304 0.4718
Cl 0.3479 0.7844 0.3158
Cl 0.3659 0.0111 0.9910
Cl 0.4936 0.5064 0.5000
Cl 0.5735 0.8085 0.9927
Cl 0.5780 0.0842 0.6010
Cl 0.7079 0.2647 0.2221
Cl 0.7353 0.2921 0.7779
Cl 0.7696 0.7340 0.5282
Cl 0.9158 0.4220 0.3990
Cl 0.9889 0.6341 0.0090
Cl 0.9949 0.0051 0.5000

Peak list (10 most intense, 15° ≤ 2θ ≤ 90°, low angle first)
2θ/deg, d [Å], I_rel
15.14, 5.850, 39
17.27, 5.135, 46
18.06, 4.911, 67
19.72, 4.502, 25
20.20, 4.397, 100
22.69, 3.920, 49
23.28, 3.821, 31
28.38, 3.145, 37
28.96, 3.083, 48
38.25, 2.353, 26



[4]
For Cs2Pu3Cl9, a PBE-relaxed structure gives the computed XRD peak list in this record (Cu Ka).
Neutral-atom scattering factors, no anomalous dispersion.

Crystal structure
a b c (Å): 8.9900 8.9900 12.6986
angles (deg): 110.41 110.41 59.93
Fractional coordinates of all 28 atoms:
Cs 0.0803 0.2414 0.2480
Cs 0.2414 0.0803 0.7480
Cs 0.7586 0.9197 0.2520
Cs 0.9197 0.7586 0.7520
Pu 0.0000 0.5000 0.0000
Pu 0.1903 0.6499 0.5002
Pu 0.3501 0.8097 0.9998
Pu 0.5000 0.0000 0.5000
Pu 0.6499 0.1903 0.0002
Pu 0.8097 0.3501 0.4998
Cl 0.0076 0.8646 0.0607
Cl 0.1327 0.5754 0.2504
Cl 0.1354 0.9924 0.4393
Cl 0.1780 0.3529 0.5571
Cl 0.3015 0.4839 0.9414
Cl 0.3093 0.6907 0.7500
Cl 0.3529 0.1780 0.0571
Cl 0.4246 0.8673 0.2496
Cl 0.4839 0.3015 0.4414
Cl 0.5161 0.6985 0.5586
Cl 0.5754 0.1327 0.7504
Cl 0.6471 0.8220 0.9429
Cl 0.6907 0.3093 0.2500
Cl 0.6985 0.5161 0.0586
Cl 0.8220 0.6471 0.4429
Cl 0.8646 0.0076 0.5607
Cl 0.8673 0.4246 0.7496
Cl 0.9924 0.1354 0.9393

Peak list (10 most intense, 15° ≤ 2θ ≤ 90°, low angle first)
2θ/deg, d [Å], I_rel
15.25, 5.811, 42
19.76, 4.493, 79
25.01, 3.560, 83
25.12, 3.545, 40
30.51, 2.930, 28
30.77, 2.906, 37
34.57, 2.594, 100
36.89, 2.437, 32
43.23, 2.093, 22
47.07, 1.931, 30